# 1
This entry pairs a crystal structure of Ta2Si with its theoretical powder diffraction line list. Radiation: Cu Kα (λ = 1.5418 Å). Structure: a structure optimized by DFT (PBE).
Intensities are scaled so that the largest is 100.

Peak list (6 most intense, 5 to 70 degrees two-theta, sorted by position)
Position (°2θ)  Rel. int.
35.28  20.8
36.95  100.0
46.18  13.7
46.36  16.4
64.42  20.1
64.71  17.0

Atomic structure:
Cell lengths 6.1928, 6.1928, 5.0881 Å; angles 90.00, 90.00, 90.00 degrees
Fractional positions:
Ta1 0.1633 0.3367 0.0000
Ta2 0.1633 0.6633 0.5000
Ta3 0.3367 0.1633 0.5000
Ta4 0.3367 0.8367 0.0000
Ta5 0.6633 0.1633 0.0000
Ta6 0.6633 0.8367 0.5000
Ta7 0.8367 0.3367 0.5000
Ta8 0.8367 0.6633 0.0000
Si1 0.0000 0.0000 0.2500
Si2 0.0000 0.0000 0.7500
Si3 0.5000 0.5000 0.2500
Si4 0.5000 0.5000 0.7500

---

# 2
This entry pairs a crystal structure of Ta5Si3 with its theoretical powder diffraction line list. Radiation: Cu Kα (λ = 1.5418 Å). Structure: a structure optimized by DFT (PBE).
Intensities are scaled so that the largest is 100.

Peak list (6 most intense, 5 to 70 degrees two-theta, sorted by position)
Position (°2θ)  Rel. int.
29.13  59.1
36.46  56.2
36.73  49.1
40.39  100.0
41.55  44.4
41.79  89.3

Atomic structure:
Cell lengths 7.5294, 7.5294, 5.2798 Å; angles 90.00, 90.00, 120.00 degrees
Fractional positions:
Ta1 0.0000 0.2458 0.2500
Ta2 0.0000 0.7542 0.7500
Ta3 0.2458 0.0000 0.2500
Ta4 0.2458 0.2458 0.7500
Ta5 0.3333 0.6667 0.0000
Ta6 0.3333 0.6667 0.5000
Ta7 0.6667 0.3333 0.0000
Ta8 0.6667 0.3333 0.5000
Ta9 0.7542 0.0000 0.7500
Ta10 0.7542 0.7542 0.2500
Si1 0.0000 0.3954 0.7500
Si2 0.0000 0.6046 0.2500
Si3 0.3954 0.0000 0.7500
Si4 0.3954 0.3954 0.2500
Si5 0.6046 0.0000 0.2500
Si6 0.6046 0.6046 0.7500

---

# 3
This entry pairs a crystal structure of Ta3SiTe6 with its theoretical powder diffraction line list. Radiation: Cu Kα (λ = 1.5418 Å). Structure: a structure optimized by DFT (PBE).
Intensities are scaled so that the largest is 100.

Peak list (6 most intense, 5 to 70 degrees two-theta, sorted by position)
Position (°2θ)  Rel. int.
11.78  100.0
32.45  66.8
33.19  22.7
40.57  36.4
48.47  16.2
48.72  24.7

Atomic structure:
Cell lengths 6.4095, 15.0254, 11.5734 Å; angles 90.00, 90.00, 90.00 degrees
Fractional positions:
Ta1 0.0317 0.2500 0.1878
Ta2 0.1662 0.7500 0.3355
Ta3 0.1976 0.7500 0.0328
Ta4 0.3024 0.2500 0.5328
Ta5 0.3338 0.2500 0.8355
Ta6 0.4683 0.7500 0.6878
Ta7 0.5317 0.2500 0.3122
Ta8 0.6662 0.7500 0.1645
Ta9 0.6976 0.7500 0.4672
Ta10 0.8024 0.2500 0.9672
Ta11 0.8338 0.2500 0.6645
Ta12 0.9683 0.7500 0.8122
Si1 0.0754 0.7500 0.5753
Si2 0.4246 0.2500 0.0753
Si3 0.5754 0.7500 0.9247
Si4 0.9246 0.2500 0.4247
Te1 0.1449 0.1285 0.9972
Te2 0.1449 0.3715 0.9972
Te3 0.1514 0.1225 0.6821
Te4 0.1514 0.3775 0.6821
Te5 0.2039 0.1247 0.3435
Te6 0.2039 0.3753 0.3435
Te7 0.2961 0.6247 0.8435
Te8 0.2961 0.8753 0.8435
Te9 0.3486 0.6225 0.1821
Te10 0.3486 0.8775 0.1821
Te11 0.3551 0.6285 0.4972
Te12 0.3551 0.8715 0.4972
Te13 0.6449 0.1285 0.5028
Te14 0.6449 0.3715 0.5028
Te15 0.6514 0.1225 0.8179
Te16 0.6514 0.3775 0.8179
Te17 0.7039 0.1247 0.1565
Te18 0.7039 0.3753 0.1565
Te19 0.7961 0.6247 0.6565
Te20 0.7961 0.8753 0.6565
Te21 0.8486 0.6225 0.3179
Te22 0.8486 0.8775 0.3179
Te23 0.8551 0.6285 0.0028
Te24 0.8551 0.8715 0.0028

---

# 4
This entry pairs a crystal structure of TaSi10W4 with its theoretical powder diffraction line list. Radiation: Cu Kα (λ = 1.5418 Å). Structure: a structure optimized by DFT (PBE).
Intensities are scaled so that the largest is 100.

Peak list (6 most intense, 5 to 70 degrees two-theta, sorted by position)
Position (°2θ)  Rel. int.
22.37  50.2
29.77  100.0
39.32  58.9
44.15  84.4
45.69  40.1
65.44  33.4

Atomic structure:
Cell lengths 20.0057, 20.0057, 20.0057 Å; angles 170.71, 170.71, 13.15 degrees
Fractional positions:
Ta1 0.0000 0.0000 0.0000
Si1 0.0676 0.0676 0.0000
Si2 0.1334 0.1334 0.0000
Si3 0.2669 0.2669 0.0000
Si4 0.3328 0.3328 0.0000
Si5 0.4656 0.4656 0.0000
Si6 0.5344 0.5344 0.0000
Si7 0.6672 0.6672 0.0000
Si8 0.7331 0.7331 0.0000
Si9 0.8666 0.8666 0.0000
Si10 0.9324 0.9324 0.0000
W1 0.2002 0.2002 0.0000
W2 0.3989 0.3989 0.0000
W3 0.6011 0.6011 0.0000
W4 0.7998 0.7998 0.0000

---

# 5
This entry pairs a crystal structure of Tb4Si7 with its theoretical powder diffraction line list. Radiation: Cu Kα (λ = 1.5418 Å). Structure: a structure optimized by DFT (PBE).
Intensities are scaled so that the largest is 100.

Peak list (6 most intense, 5 to 70 degrees two-theta, sorted by position)
Position (°2θ)  Rel. int.
23.25  48.4
25.47  56.7
29.54  80.1
34.07  97.8
34.35  100.0
39.37  35.2

Atomic structure:
Cell lengths 5.6542, 5.6542, 13.9929 Å; angles 90.66, 90.66, 89.41 degrees
Fractional positions:
Tb1 0.1207 0.6145 0.6283
Tb2 0.1260 0.1260 0.1297
Tb3 0.3726 0.3726 0.8738
Tb4 0.3855 0.8793 0.3717
Tb5 0.6145 0.1207 0.6283
Tb6 0.6274 0.6274 0.1262
Tb7 0.8740 0.8740 0.8703
Tb8 0.8793 0.3855 0.3717
Si1 0.1185 0.1185 0.6844
Si2 0.1224 0.6369 0.2129
Si3 0.1259 0.6260 0.0440
Si4 0.3570 0.3570 0.4678
Si5 0.3631 0.8776 0.7871
Si6 0.3740 0.8741 0.9560
Si7 0.3800 0.3800 0.2979
Si8 0.6200 0.6200 0.7021
Si9 0.6260 0.1259 0.0440
Si10 0.6369 0.1224 0.2129
Si11 0.6430 0.6430 0.5322
Si12 0.8741 0.3740 0.9560
Si13 0.8776 0.3631 0.7871
Si14 0.8815 0.8815 0.3156

---

# 6
This entry pairs a crystal structure of Tb3Si with its theoretical powder diffraction line list. Radiation: Cu Kα (λ = 1.5418 Å). Structure: a structure optimized by DFT (PBE).
Intensities are scaled so that the largest is 100.

Peak list (6 most intense, 5 to 70 degrees two-theta, sorted by position)
Position (°2θ)  Rel. int.
23.18  28.7
30.71  24.6
35.19  23.6
35.50  100.0
63.34  18.6
66.64  19.9

Atomic structure:
Cell lengths 6.7235, 6.7235, 5.1011 Å; angles 90.00, 90.00, 120.00 degrees
Fractional positions:
Tb1 0.1776 0.3551 0.2500
Tb2 0.1776 0.8224 0.2500
Tb3 0.3551 0.1776 0.7500
Tb4 0.6449 0.8224 0.2500
Tb5 0.8224 0.1776 0.7500
Tb6 0.8224 0.6449 0.7500
Si1 0.3333 0.6667 0.7500
Si2 0.6667 0.3333 0.2500